Starting from the PBE geometry in Alexandria, the X-ray powder pattern of YTm4PbS8 was computed for Cu Ka.

Crystal structure
```
data_YTm4PbS8
_chemical_formula_sum 'Y3 Tm12 Pb3 S24'
_space_group_name_H-M_alt 'R 3 m'
_space_group_IT_number 160
_space_group_name_Hall 'R 3 -2"'
_cell_length_a 8.0436
_cell_length_b 8.0436
_cell_length_c 19.9077
_cell_angle_alpha 90.00
_cell_angle_beta 90.00
_cell_angle_gamma 120.00
loop_
_atom_site_label
_atom_site_type_symbol
_atom_site_fract_x
_atom_site_fract_y
_atom_site_fract_z
_atom_site_occupancy
Y1 Y 0.0000 0.0000 0.0000 1
Tm1 Tm 0.0000 0.0000 0.6234 1
Tm2 Tm 0.1691 0.3382 0.8305 1
Pb1 Pb 0.0000 0.0000 0.3716 1
S1 S 0.0000 0.0000 0.2325 1
S2 S 0.0000 0.0000 0.7557 1
S3 S 0.0353 0.5177 0.7542 1
S4 S 0.1757 0.3515 0.5776 1
```

Most intense lines, 2θ from 10° to 90°, low angle first:
- 2θ = 21.9°, I 32, hkl 1 0 4
- 2θ = 22.1°, I 14, hkl 1 1 0
- 2θ = 25.8°, I 27, hkl 0 1 5
- 2θ = 25.9°, I 100, hkl 0 2 1
- 2θ = 31.3°, I 15, hkl 0 2 4
- 2θ = 38.7°, I 17, hkl 2 1 4
- 2θ = 41.0°, I 18, hkl 0 2 7
- 2θ = 41.1°, I 36, hkl 0 3 3
- 2θ = 44.8°, I 34, hkl 2 0 8
- 2θ = 45.1°, I 34, hkl 2 2 0